Diffraction record for Li2CaAc2Pb2. The powder XRD pattern is calculated, not measured: it uses DFT lattice parameters and positions (GGA-PBE) and Cu Kα (weighted mean of Kα1 and Kα2).
Lines closer than 0.1° are merged.

Peak list (10 most intense, 2θ from 10° to 90°, sorted by position)
two_theta  I (rel.)
21.00  44
21.55  49
25.12  95
28.68  90
30.72  88
36.46  100
42.57  54
48.39  26
57.24  25
62.08  25

Structural model:
```
Li2CaAc2Pb2
1.0
2.4645 1.4229 10.6114
-2.4645 1.4229 10.6114
0.0000 -2.8458 10.6114
Li Ca Ac Pb
2 1 2 2
Direct
0.1184 0.1184 0.1184
0.8816 0.8816 0.8816
0.5000 0.5000 0.5000
0.3787 0.3787 0.3787
0.6213 0.6213 0.6213
0.2285 0.2285 0.2285
0.7715 0.7715 0.7715
```



Diffraction record for Li2CaAcPt2. The powder XRD pattern is calculated, not measured: it uses DFT lattice parameters and positions (GGA-PBE) and Cu Kα (weighted mean of Kα1 and Kα2).
Lines closer than 0.1° are merged.

Peak list (10 most intense, 2θ from 10° to 90°, sorted by position)
two_theta  I (rel.)
11.44  19
25.92  100
32.88  83
40.72  48
42.23  26
48.90  19
53.29  21
63.89  25
65.46  16
69.16  20

Structural model:
```
Li2CaAcPt2
1.0
4.4317 0.0000 0.0000
-2.2159 3.8380 0.0000
0.0000 0.0000 7.7351
Li Ca Ac Pt
2 1 1 2
Direct
0.3333 0.6667 0.2994
0.6667 0.3333 0.7006
0.0000 0.0000 0.5000
0.0000 0.0000 0.0000
0.3333 0.6667 0.7445
0.6667 0.3333 0.2555
```



Diffraction record for Li2CaAcSi2. The powder XRD pattern is calculated, not measured: it uses DFT lattice parameters and positions (GGA-PBE) and Cu Kα (weighted mean of Kα1 and Kα2).
Lines closer than 0.1° are merged.

Peak list (10 most intense, 2θ from 10° to 90°, sorted by position)
two_theta  I (rel.)
11.59  55
22.33  76
25.23  75
32.50  100
39.20  38
41.01  18
42.16  17
46.11  18
51.81  27
66.84  25

Structural model:
```
Li2CaAcSi2
1.0
4.5964 0.0000 0.0000
-2.2982 3.9806 0.0000
0.0000 0.0000 7.6321
Li Ca Ac Si
2 1 1 2
Direct
0.3333 0.6667 0.1887
0.6667 0.3333 0.8113
0.0000 0.0000 0.0000
0.0000 0.0000 0.5000
0.3333 0.6667 0.7644
0.6667 0.3333 0.2356
```



Diffraction record for Li2CaAc2Sn2. The powder XRD pattern is calculated, not measured: it uses DFT lattice parameters and positions (GGA-PBE) and Cu Kα (weighted mean of Kα1 and Kα2).
Lines closer than 0.1° are merged.

Peak list (10 most intense, 2θ from 10° to 90°, sorted by position)
two_theta  I (rel.)
21.26  72
25.36  100
28.93  77
30.96  96
36.93  95
42.82  47
45.33  27
48.94  27
57.79  33
62.86  26

Structural model:
```
Li2CaAc2Sn2
1.0
2.4338 1.4052 10.5720
-2.4338 1.4052 10.5720
0.0000 -2.8103 10.5720
Li Ca Ac Sn
2 1 2 2
Direct
0.1196 0.1196 0.1196
0.8804 0.8804 0.8804
0.5000 0.5000 0.5000
0.3795 0.3795 0.3795
0.6205 0.6205 0.6205
0.2277 0.2277 0.2277
0.7723 0.7723 0.7723
```



Diffraction record for LiCa2AcSn2. The powder XRD pattern is calculated, not measured: it uses DFT lattice parameters and positions (GGA-PBE) and Cu Kα (weighted mean of Kα1 and Kα2).
Lines closer than 0.1° are merged.

Peak list (10 most intense, 2θ from 10° to 90°, sorted by position)
two_theta  I (rel.)
23.76  100
25.24  35
27.37  29
31.84  24
36.00  30
40.84  26
43.59  42
48.81  15
51.81  14
56.91  13

Structural model:
```
LiCa2AcSn2
1.0
4.9893 0.0000 0.0000
0.0000 4.9893 0.0000
0.0000 0.0000 17.0060
Li Ca Ac Sn
2 4 2 4
Direct
0.0000 0.0000 0.0000
0.5000 0.5000 0.5000
0.0000 0.5000 0.2500
0.0000 0.5000 0.7500
0.5000 0.0000 0.2500
0.5000 0.0000 0.7500
0.0000 0.0000 0.5000
0.5000 0.5000 0.0000
0.0000 0.0000 0.1383
0.0000 0.0000 0.8617
0.5000 0.5000 0.3617
0.5000 0.5000 0.6383
```



Diffraction record for LiCaAcSn2. The powder XRD pattern is calculated, not measured: it uses DFT lattice parameters and positions (GGA-PBE) and Cu Kα (weighted mean of Kα1 and Kα2).
Lines closer than 0.1° are merged.

Peak list (10 most intense, 2θ from 10° to 90°, sorted by position)
two_theta  I (rel.)
12.41  22
23.41  34
25.07  37
28.07  12
30.87  28
32.05  100
40.17  24
43.18  11
48.76  23
55.65  23

Structural model:
```
LiCaAcSn2
1.0
5.7937 0.0000 0.0000
0.0000 7.1323 0.0000
0.0000 0.0000 7.1037
Li Ca Ac Sn
2 2 2 4
Direct
0.0000 0.0000 0.0000
0.5000 0.0000 0.0000
0.2500 0.0000 0.3796
0.7500 0.0000 0.6204
0.2500 0.5000 0.2282
0.7500 0.5000 0.7718
0.2500 0.2428 0.7569
0.2500 0.7572 0.7569
0.7500 0.2428 0.2431
0.7500 0.7572 0.2431
```



Diffraction record for LiCaAcTl. The powder XRD pattern is calculated, not measured: it uses DFT lattice parameters and positions (GGA-PBE) and Cu Kα (weighted mean of Kα1 and Kα2).
Lines closer than 0.1° are merged.

Peak list (10 most intense, 2θ from 10° to 90°, sorted by position)
two_theta  I (rel.)
19.26  70
31.70  100
37.36  41
45.44  19
49.78  19
56.47  40
60.23  14
66.22  12
69.68  14
75.28  17

Structural model:
```
LiCaAcTl
1.0
7.9834 0.0000 0.0000
0.0000 7.9834 0.0000
0.0000 0.0000 7.9834
Li Ca Ac Tl
4 4 4 4
Direct
0.0000 0.0000 0.0000
0.0000 0.5000 0.5000
0.5000 0.0000 0.5000
0.5000 0.5000 0.0000
0.2500 0.2500 0.7500
0.2500 0.7500 0.2500
0.7500 0.2500 0.2500
0.7500 0.7500 0.7500
0.2500 0.2500 0.2500
0.2500 0.7500 0.7500
0.7500 0.2500 0.7500
0.7500 0.7500 0.2500
0.0000 0.0000 0.5000
0.0000 0.5000 0.0000
0.5000 0.0000 0.0000
0.5000 0.5000 0.5000
```



Diffraction record for CaAcNdLu. The powder XRD pattern is calculated, not measured: it uses DFT lattice parameters and positions (GGA-PBE) and Cu Kα (weighted mean of Kα1 and Kα2).
Lines closer than 0.1° are merged.

Peak list (10 most intense, 2θ from 10° to 90°, sorted by position)
two_theta  I (rel.)
18.29  14
21.15  8
30.08  100
35.43  9
43.06  19
53.42  40
62.53  13
70.93  17
78.93  4
86.71  21

Structural model:
```
CaAcNdLu
1.0
8.4031 0.0000 0.0000
0.0000 8.4031 0.0000
0.0000 0.0000 8.4031
Ca Ac Nd Lu
4 4 4 4
Direct
0.0000 0.0000 0.0000
0.0000 0.5000 0.5000
0.5000 0.0000 0.5000
0.5000 0.5000 0.0000
0.2500 0.2500 0.2500
0.2500 0.7500 0.7500
0.7500 0.2500 0.7500
0.7500 0.7500 0.2500
0.2500 0.2500 0.7500
0.2500 0.7500 0.2500
0.7500 0.2500 0.2500
0.7500 0.7500 0.7500
0.0000 0.0000 0.5000
0.0000 0.5000 0.0000
0.5000 0.0000 0.0000
0.5000 0.5000 0.5000
```



Diffraction record for CaAc3Mg8. The powder XRD pattern is calculated, not measured: it uses DFT lattice parameters and positions (GGA-PBE) and Cu Kα (weighted mean of Kα1 and Kα2).
Lines closer than 0.1° are merged.

Peak list (10 most intense, 2θ from 10° to 90°, sorted by position)
two_theta  I (rel.)
16.14  59
17.16  31
18.30  56
23.64  36
28.15  82
30.63  100
33.15  84
33.78  33
51.40  48
53.10  26

Structural model:
```
CaAc3Mg8
1.0
6.3398 0.0000 0.0000
-3.1699 5.4905 0.0000
0.0000 0.0000 10.3367
Ca Ac Mg
1 3 8
Direct
0.0000 0.0000 0.0000
0.0000 0.0000 0.3770
0.6667 0.3333 0.4934
0.6667 0.3333 0.8680
0.1653 0.3306 0.6863
0.1653 0.8347 0.6863
0.3333 0.6667 0.4311
0.3333 0.6667 0.9340
0.5015 0.0030 0.1820
0.5015 0.4985 0.1820
0.6694 0.8347 0.6863
0.9970 0.4985 0.1820
```



Diffraction record for CaAc4Mg5. The powder XRD pattern is calculated, not measured: it uses DFT lattice parameters and positions (GGA-PBE) and Cu Kα (weighted mean of Kα1 and Kα2).
Lines closer than 0.1° are merged.

Peak list (10 most intense, 2θ from 10° to 90°, sorted by position)
two_theta  I (rel.)
21.63  69
21.93  33
30.77  51
30.99  100
38.11  35
44.08  21
49.61  16
49.76  17
54.86  41
55.27  19

Structural model:
```
CaAc4Mg5
1.0
4.1088 0.0000 0.0000
0.0000 4.1088 0.0000
0.0000 0.0000 20.2646
Ca Ac Mg
1 4 5
Direct
0.0000 0.0000 0.0000
0.0000 0.0000 0.1965
0.0000 0.0000 0.3979
0.0000 0.0000 0.6021
0.0000 0.0000 0.8035
0.5000 0.5000 0.0920
0.5000 0.5000 0.2971
0.5000 0.5000 0.5000
0.5000 0.5000 0.7029
0.5000 0.5000 0.9080
```



Diffraction record for Ca2AcMg2. The powder XRD pattern is calculated, not measured: it uses DFT lattice parameters and positions (GGA-PBE) and Cu Kα (weighted mean of Kα1 and Kα2).
Lines closer than 0.1° are merged.

Peak list (10 most intense, 2θ from 10° to 90°, sorted by position)
two_theta  I (rel.)
11.94  39
16.19  52
23.50  24
27.21  20
28.47  26
30.14  23
30.35  28
31.03  100
43.31  22
54.35  20

Structural model:
```
Ca2AcMg2
1.0
3.9801 0.0000 0.0000
0.0000 5.8897 0.0000
-2.0085 0.0000 14.8261
Ca Ac Mg
4 2 4
Direct
0.0478 0.2500 0.0939
0.2331 0.2500 0.4671
0.7669 0.7500 0.5329
0.9522 0.7500 0.9061
0.1490 0.7500 0.2925
0.8510 0.2500 0.7075
0.3591 0.7500 0.7217
0.4512 0.2500 0.9046
0.5488 0.7500 0.0954
0.6409 0.2500 0.2783
```



Diffraction record for Ca3Ac2Mg3. The powder XRD pattern is calculated, not measured: it uses DFT lattice parameters and positions (GGA-PBE) and Cu Kα (weighted mean of Kα1 and Kα2).
Lines closer than 0.1° are merged.

Peak list (10 most intense, 2θ from 10° to 90°, sorted by position)
two_theta  I (rel.)
18.58  66
21.49  47
30.57  100
36.01  39
37.68  15
43.78  18
49.27  20
54.37  29
57.96  10
72.24  15

Structural model:
```
Ca3Ac2Mg3
1.0
2.9218 1.6869 9.5676
-2.9218 1.6869 9.5676
0.0000 -3.3738 9.5676
Ca Ac Mg
3 2 3
Direct
0.0000 0.0000 0.0000
0.1290 0.1290 0.1290
0.5088 0.5088 0.5088
0.2586 0.2586 0.2586
0.7481 0.7481 0.7481
0.3831 0.3831 0.3831
0.6282 0.6282 0.6282
0.8741 0.8741 0.8741
```



Diffraction record for CaAcPrMg. The powder XRD pattern is calculated, not measured: it uses DFT lattice parameters and positions (GGA-PBE) and Cu Kα (weighted mean of Kα1 and Kα2).
Lines closer than 0.1° are merged.

Peak list (10 most intense, 2θ from 10° to 90°, sorted by position)
two_theta  I (rel.)
24.86  52
26.99  16
29.42  100
32.99  40
34.24  15
43.12  18
47.34  14
49.82  19
56.73  32
61.06  19

Structural model:
```
CaAcPrMg
1.0
3.8404 0.0000 0.0000
0.0000 3.8404 0.0000
0.0000 0.0000 9.9119
Ca Ac Pr Mg
1 1 1 1
Direct
0.0000 0.0000 0.0000
0.5000 0.5000 0.3038
0.0000 0.0000 0.5727
0.5000 0.5000 0.7849
```



Diffraction record for CaAcYMg. The powder XRD pattern is calculated, not measured: it uses DFT lattice parameters and positions (GGA-PBE) and Cu Kα (weighted mean of Kα1 and Kα2).
Lines closer than 0.1° are merged.

Peak list (10 most intense, 2θ from 10° to 90°, sorted by position)
two_theta  I (rel.)
18.70  25
21.63  48
30.77  100
36.25  15
37.92  16
44.07  19
49.60  22
54.71  39
72.78  17
89.17  20

Structural model:
```
CaAcYMg
1.0
8.2187 0.0000 0.0000
0.0000 8.2187 0.0000
0.0000 0.0000 8.2187
Ca Ac Y Mg
4 4 4 4
Direct
0.0000 0.0000 0.0000
0.0000 0.5000 0.5000
0.5000 0.0000 0.5000
0.5000 0.5000 0.0000
0.2500 0.2500 0.2500
0.2500 0.7500 0.7500
0.7500 0.2500 0.7500
0.7500 0.7500 0.2500
0.2500 0.2500 0.7500
0.2500 0.7500 0.2500
0.7500 0.2500 0.2500
0.7500 0.7500 0.7500
0.0000 0.0000 0.5000
0.0000 0.5000 0.0000
0.5000 0.0000 0.0000
0.5000 0.5000 0.5000
```